No. 1
Structure and simulated powder XRD pattern of LaTiNO2 (a structure optimized by DFT (GGA-PBE); Cu Ka).
Neutral-atom scattering factors, no anomalous dispersion.

Principal peaks in the range 2θ = 10–90°, sorted by position:
index, 2θ (°), I/Imax
1 0 1, 22.2, 22.1
0 0 2, 31.4, 26.0
2 0 0, 31.7, 27.0
1 1 1, 32.1, 100.0
0 1 2, 39.3, 18.3
2 1 0, 39.5, 18.6
2 0 2, 45.3, 33.6
0 2 0, 46.8, 15.8
1 1 3, 56.4, 18.6
3 1 1, 56.8, 19.6
2 2 2, 67.2, 18.7
4 0 2, 75.2, 12.0

Structural model:
```
data_LaTiNO2
_cell_length_a 5.6413
_cell_length_b 3.8806
_cell_length_c 5.6905
_cell_angle_alpha 90.00
_cell_angle_beta 90.00
_cell_angle_gamma 90.00
_space_group_name_H-M_alt 'P m m a'
_space_group_IT_number 51
loop_
_space_group_symop_operation_xyz
'x,y,z'
'-x,-y,-z'
'-x+1/2,-y,z'
'x+1/2,y,-z'
'x+1/2,-y,-z'
'-x+1/2,y,z'
'-x,y,-z'
'x,-y,z'
loop_
_atom_site_label
_atom_site_type_symbol
_atom_site_fract_x
_atom_site_fract_y
_atom_site_fract_z
_atom_site_occupancy
La1 La 0.2500 0.0000 0.2343 1
Ti1 Ti 0.2500 0.5000 0.7308 1
N1 N 0.0000 0.5000 0.5000 1
O1 O 0.0000 0.5000 0.0000 1
O2 O 0.2500 0.0000 0.7806 1
```

=====

No. 2
Structure and simulated powder XRD pattern of LaTiNO2 (a structure optimized by DFT (GGA-PBE); Cu Ka).
Neutral-atom scattering factors, no anomalous dispersion.

Principal peaks in the range 2θ = 10–90°, sorted by position:
index, 2θ (°), I/Imax
0 0 2, 22.0, 11.2
1 1 0, 22.6, 25.2
1 1 2, 31.8, 100.0
0 2 0, 32.1, 55.4
2 0 2, 39.3, 33.6
0 0 4, 44.9, 17.4
2 2 0, 46.1, 29.5
2 0 4, 56.3, 20.9
3 1 2, 57.0, 21.7
1 3 2, 57.1, 21.5
2 2 4, 66.3, 17.6
1 1 6, 74.6, 7.7

Structural model:
```
data_LaTiNO2
_cell_length_a 5.5752
_cell_length_b 5.5638
_cell_length_c 8.0691
_cell_angle_alpha 90.00
_cell_angle_beta 90.09
_cell_angle_gamma 90.00
_space_group_name_H-M_alt 'P 1 21 1'
_space_group_IT_number 4
loop_
_space_group_symop_operation_xyz
'x,y,z'
'-x,y+1/2,-z'
loop_
_atom_site_label
_atom_site_type_symbol
_atom_site_fract_x
_atom_site_fract_y
_atom_site_fract_z
_atom_site_occupancy
La1 La 0.2446 0.0000 0.2577 1
La2 La 0.2515 0.0020 0.7420 1
Ti1 Ti 0.2474 0.4992 0.0150 1
Ti2 Ti 0.2646 0.5029 0.4975 1
N1 N 0.2416 0.4963 0.2467 1
N2 N 0.4489 0.7919 0.5000 1
O1 O 0.0587 0.8048 0.9985 1
O2 O 0.0601 0.1750 0.5002 1
O3 O 0.2310 0.4915 0.7508 1
O4 O 0.4453 0.1921 0.0010 1
```

=====

No. 3
Structure and simulated powder XRD pattern of LaTiNO2 (a structure optimized by DFT (GGA-PBE); Cu Ka).
Neutral-atom scattering factors, no anomalous dispersion.

Principal peaks in the range 2θ = 10–90°, sorted by position:
index, 2θ (°), I/Imax
0 0 2, 22.4, 21.5
1 -1 0, 22.5, 22.3
1 1 -2, 31.8, 88.9
2 0 0, 31.9, 87.8
1 -1 2, 32.0, 100.0
0 2 2, 39.3, 60.2
2 2 0, 45.4, 31.0
0 0 4, 45.7, 26.1
2 -2 0, 46.0, 26.6
3 1 2, 56.6, 28.7
3 1 -2, 56.7, 36.9
3 -1 2, 57.0, 28.5

Structural model:
```
data_LaTiNO2
_cell_length_a 5.6106
_cell_length_b 5.6214
_cell_length_c 7.9482
_cell_angle_alpha 89.98
_cell_angle_beta 89.92
_cell_angle_gamma 89.28
_space_group_name_H-M_alt 'P 1'
_space_group_IT_number 1
loop_
_space_group_symop_operation_xyz
'x,y,z'
loop_
_atom_site_label
_atom_site_type_symbol
_atom_site_fract_x
_atom_site_fract_y
_atom_site_fract_z
_atom_site_occupancy
La1 La 0.0000 0.0000 0.0000 1
La2 La 0.0011 0.9984 0.5188 1
La3 La 0.4998 0.4979 0.5175 1
La4 La 0.5014 0.4995 0.0003 1
Ti1 Ti 0.0001 0.5007 0.2715 1
Ti2 Ti 0.4983 0.0173 0.7635 1
Ti3 Ti 0.4991 0.9981 0.2432 1
Ti4 Ti 0.9992 0.4862 0.7563 1
N1 N 0.0439 0.4585 0.5004 1
N2 N 0.2435 0.2570 0.8044 1
N3 N 0.5410 0.9528 0.0090 1
N4 N 0.7433 0.2551 0.7553 1
O1 O 0.2393 0.7588 0.7525 1
O2 O 0.2402 0.2582 0.1977 1
O3 O 0.2411 0.7575 0.2534 1
O4 O 0.4327 0.0598 0.5010 1
O5 O 0.7382 0.7565 0.6971 1
O6 O 0.7398 0.2594 0.2526 1
O7 O 0.7412 0.7588 0.3108 1
O8 O 0.9353 0.5712 0.0035 1
```

=====

No. 4
Structure and simulated powder XRD pattern of LaTiNO2 (a structure optimized by DFT (GGA-PBE); Cu Ka).
Neutral-atom scattering factors, no anomalous dispersion.

Principal peaks in the range 2θ = 10–90°, sorted by position:
index, 2θ (°), I/Imax
1 1 0, 22.2, 22.7
0 0 2, 22.7, 12.5
0 2 0, 31.6, 23.7
2 0 0, 31.7, 25.6
1 1 2, 32.0, 100.0
2 0 2, 39.3, 32.4
2 2 0, 45.4, 30.9
0 0 4, 46.4, 13.7
1 3 2, 56.6, 21.8
3 1 2, 56.7, 18.8
2 0 4, 57.3, 21.3
2 2 4, 67.0, 15.6

Structural model:
```
data_LaTiNO2
_cell_length_a 5.6418
_cell_length_b 5.6602
_cell_length_c 7.8223
_cell_angle_alpha 90.00
_cell_angle_beta 90.00
_cell_angle_gamma 90.00
_space_group_name_H-M_alt 'I 21 21 21'
_space_group_IT_number 24
loop_
_space_group_symop_operation_xyz
'x,y,z'
'-x,-y+1/2,z'
'x,-y,-z+1/2'
'-x,y+1/2,-z+1/2'
'x+1/2,y+1/2,z+1/2'
'-x+1/2,-y,z+1/2'
'x+1/2,-y+1/2,-z'
'-x+1/2,y,-z'
loop_
_atom_site_label
_atom_site_type_symbol
_atom_site_fract_x
_atom_site_fract_y
_atom_site_fract_z
_atom_site_occupancy
La1 La 0.2500 0.0090 0.0000 1
Ti1 Ti 0.2297 0.5000 0.7500 1
N1 N 0.0000 0.2500 0.7888 1
O1 O 0.0000 0.2500 0.2027 1
O2 O 0.2500 0.4200 0.5000 1
```

=====

No. 5
Structure and simulated powder XRD pattern of LaTiNO2 (a structure optimized by DFT (GGA-PBE); Cu Ka).
Neutral-atom scattering factors, no anomalous dispersion.

Principal peaks in the range 2θ = 10–90°, sorted by position:
index, 2θ (°), I/Imax
0 2 0, 22.2, 8.5
1 0 1, 22.5, 18.2
1 2 1, 31.9, 100.0
2 0 0, 32.2, 18.2
0 2 2, 39.2, 12.9
2 2 0, 39.5, 13.5
0 4 0, 45.4, 12.0
2 0 2, 46.0, 24.5
0 4 2, 56.5, 7.9
1 2 3, 56.8, 25.1
3 2 1, 57.2, 15.3
0 0 4, 66.6, 17.0

Structural model:
```
data_LaTiNO2
_cell_length_a 5.5548
_cell_length_b 7.9958
_cell_length_c 5.6164
_cell_angle_alpha 90.00
_cell_angle_beta 90.00
_cell_angle_gamma 90.00
_space_group_name_H-M_alt 'I m m a'
_space_group_IT_number 74
_space_group_name_Hall '-I 2b 2'
loop_
_atom_site_label
_atom_site_type_symbol
_atom_site_fract_x
_atom_site_fract_y
_atom_site_fract_z
_atom_site_occupancy
La1 La 0.0000 0.2500 0.9996 1
Ti1 Ti 0.0000 0.0000 0.5000 1
N1 N 0.0000 0.2500 0.4323 1
O1 O 0.2500 0.0351 0.7500 1
```

=====

No. 6
Structure and simulated powder XRD pattern of LaZrNO2 (a structure optimized by DFT (GGA-PBE); Cu Ka).
Neutral-atom scattering factors, no anomalous dispersion.

Principal peaks in the range 2θ = 10–90°, sorted by position:
index, 2θ (°), I/Imax
1 2 1, 30.3, 100.0
0 0 2, 30.8, 19.4
0 4 0, 42.9, 11.5
2 0 2, 43.8, 18.1
3 1 1, 50.3, 4.6
2 4 0, 53.5, 8.4
0 4 2, 53.8, 9.1
3 2 1, 53.9, 13.2
1 2 3, 54.5, 19.0
2 4 2, 63.0, 10.9
1 6 1, 70.9, 7.4
1 6 3, 87.4, 4.6

Structural model:
```
data_LaZrNO2
_cell_length_a 5.8827
_cell_length_b 8.4262
_cell_length_c 5.8021
_cell_angle_alpha 90.00
_cell_angle_beta 90.00
_cell_angle_gamma 90.00
_space_group_name_H-M_alt 'P n m a'
_space_group_IT_number 62
loop_
_space_group_symop_operation_xyz
'x,y,z'
'-x,-y,-z'
'-x+1/2,-y,z+1/2'
'x+1/2,y,-z+1/2'
'x+1/2,-y+1/2,-z+1/2'
'-x+1/2,y+1/2,z+1/2'
'-x,y+1/2,-z'
'x,-y+1/2,z'
loop_
_atom_site_label
_atom_site_type_symbol
_atom_site_fract_x
_atom_site_fract_y
_atom_site_fract_z
_atom_site_occupancy
La1 La 0.0404 0.2500 0.0074 1
Zr1 Zr 0.0000 0.0000 0.5000 1
N1 N 0.0338 0.7500 0.5927 1
O1 O 0.1915 0.5450 0.1915 1
```

=====

No. 7
Structure and simulated powder XRD pattern of La3S3N (a structure optimized by DFT (GGA-PBE); Cu Ka).
Neutral-atom scattering factors, no anomalous dispersion.

Principal peaks in the range 2θ = 10–90°, sorted by position:
index, 2θ (°), I/Imax
3 0 2, 25.7, 100.0
2 1 0, 25.9, 58.1
1 1 2, 26.3, 79.8
2 1 1, 26.7, 41.5
0 0 4, 26.9, 72.3
1 1 3, 30.4, 26.9
3 1 1, 31.4, 48.8
2 1 4, 37.7, 63.2
2 1 5, 43.0, 27.4
0 2 0, 43.4, 57.0
3 0 6, 46.8, 25.0
3 2 2, 51.1, 33.2

Structural model:
```
data_La3S3N
_cell_length_a 12.2277
_cell_length_b 4.1728
_cell_length_c 13.2566
_cell_angle_alpha 90.00
_cell_angle_beta 90.00
_cell_angle_gamma 90.00
_space_group_name_H-M_alt 'P n m a'
_space_group_IT_number 62
loop_
_space_group_symop_operation_xyz
'x,y,z'
'-x,-y,-z'
'-x+1/2,-y,z+1/2'
'x+1/2,y,-z+1/2'
'x+1/2,-y+1/2,-z+1/2'
'-x+1/2,y+1/2,z+1/2'
'-x,y+1/2,-z'
'x,-y+1/2,z'
loop_
_atom_site_label
_atom_site_type_symbol
_atom_site_fract_x
_atom_site_fract_y
_atom_site_fract_z
_atom_site_occupancy
La1 La 0.0334 0.2500 0.1523 1
La2 La 0.0952 0.2500 0.6255 1
La3 La 0.2297 0.2500 0.8699 1
S1 S 0.0716 0.2500 0.3926 1
S2 S 0.1460 0.7500 0.0021 1
S3 S 0.2342 0.7500 0.7056 1
N1 N 0.0550 0.2500 0.7983 1
```

=====

No. 8
Structure and simulated powder XRD pattern of La4Se3N2 (a structure optimized by DFT (GGA-PBE); Cu Ka).
Neutral-atom scattering factors, no anomalous dispersion.

Principal peaks in the range 2θ = 10–90°, sorted by position:
index, 2θ (°), I/Imax
2 2 1, 25.5, 84.4
4 0 0, 26.6, 91.9
0 0 2, 26.8, 60.0
1 1 -2, 29.0, 20.6
1 3 -1, 29.8, 71.2
2 0 -2, 30.0, 51.3
3 3 0, 32.7, 24.6
0 4 0, 34.5, 78.3
3 3 1, 35.5, 34.6
4 0 2, 38.1, 100.0
5 3 -1, 44.8, 25.3
3 5 -2, 56.1, 20.1

Structural model:
```
data_La4Se3N2
_cell_length_a 13.4223
_cell_length_b 10.3952
_cell_length_c 6.6458
_cell_angle_alpha 90.00
_cell_angle_beta 90.07
_cell_angle_gamma 90.00
_space_group_name_H-M_alt 'C 1 2/c 1'
_space_group_IT_number 15
loop_
_space_group_symop_operation_xyz
'x,y,z'
'-x,-y,-z'
'-x,y,-z+1/2'
'x,-y,z+1/2'
'x+1/2,y+1/2,z'
'-x+1/2,-y+1/2,-z'
'-x+1/2,y+1/2,-z+1/2'
'x+1/2,-y+1/2,z+1/2'
loop_
_atom_site_label
_atom_site_type_symbol
_atom_site_fract_x
_atom_site_fract_y
_atom_site_fract_z
_atom_site_occupancy
La1 La 0.1264 0.1818 0.4705 1
La2 La 0.1645 0.4215 0.9270 1
Se1 Se 0.0000 0.4025 0.2500 1
Se2 Se 0.1156 0.1306 0.9657 1
N1 N 0.2054 0.3755 0.5856 1
```

=====

No. 9
Structure and simulated powder XRD pattern of NaLa3 (a structure optimized by DFT (GGA-PBE); Cu Ka).
Neutral-atom scattering factors, no anomalous dispersion.

Principal peaks in the range 2θ = 10–90°, sorted by position:
index, 2θ (°), I/Imax
1 0 0, 16.9, 19.1
1 1 0, 23.9, 16.7
1 1 1, 29.4, 100.0
2 0 0, 34.1, 50.7
2 1 0, 38.3, 9.8
2 1 1, 42.1, 7.6
2 2 0, 49.0, 36.2
3 1 1, 58.2, 43.0
2 2 2, 61.1, 12.4
4 0 0, 71.8, 5.7
3 3 1, 79.5, 17.2
4 2 0, 82.0, 15.9

Structural model:
```
data_NaLa3
_cell_length_a 5.2563
_cell_length_b 5.2563
_cell_length_c 5.2563
_cell_angle_alpha 90.00
_cell_angle_beta 90.00
_cell_angle_gamma 90.00
_space_group_name_H-M_alt 'P m -3 m'
_space_group_IT_number 221
_space_group_name_Hall '-P 4 2 3'
loop_
_atom_site_label
_atom_site_type_symbol
_atom_site_fract_x
_atom_site_fract_y
_atom_site_fract_z
_atom_site_occupancy
Na1 Na 0.0000 0.0000 0.0000 1
La1 La 0.0000 0.5000 0.5000 1
```

=====

No. 10
Structure and simulated powder XRD pattern of NaLaNb2O7 (a structure optimized by DFT (GGA-PBE); Cu Ka).
Neutral-atom scattering factors, no anomalous dispersion.

Principal peaks in the range 2θ = 10–90°, sorted by position:
index, 2θ (°), I/Imax
1 0 3, 25.8, 100.0
1 0 5, 30.7, 88.5
1 1 0, 32.2, 42.2
1 1 2, 33.3, 25.8
1 0 7, 37.0, 14.5
0 0 10, 41.7, 17.1
2 0 0, 46.2, 39.1
1 1 8, 46.8, 19.8
1 1 10, 53.6, 52.2
2 1 5, 56.5, 32.9
1 0 13, 60.3, 14.3
2 0 10, 64.0, 17.5

Structural model:
```
data_NaLaNb2O7
_cell_length_a 3.9311
_cell_length_b 3.9311
_cell_length_c 21.6662
_cell_angle_alpha 90.00
_cell_angle_beta 90.00
_cell_angle_gamma 90.00
_space_group_name_H-M_alt 'I -4 m 2'
_space_group_IT_number 119
_space_group_name_Hall 'I -4 -2'
loop_
_atom_site_label
_atom_site_type_symbol
_atom_site_fract_x
_atom_site_fract_y
_atom_site_fract_z
_atom_site_occupancy
Na1 Na 0.0000 0.0000 0.0000 1
La1 La 0.0000 0.5000 0.2500 1
Nb1 Nb 0.0000 0.5000 0.6435 1
O1 O 0.0000 0.0000 0.1636 1
O2 O 0.0000 0.0000 0.3357 1
O3 O 0.0000 0.5000 0.5600 1
O4 O 0.0000 0.5000 0.7500 1
```